HoTcNi: calculated powder X-ray diffraction pattern (a wavelength of 1.5418 Å), based on a GGA-PBE-relaxed structure.
Lines closer than 0.1° are merged.

Most intense lines, 10° ≤ 2θ ≤ 90°, in order of rising 2θ:
2θ/deg  Rel. int.
18.67  49
26.52  43
33.87  65
37.36  100
37.86  47
41.29  19
43.52  30
45.67  28
54.24  23
68.04  19

Atomic structure:
```
HoTcNi
1.0
6.722 0.000 0.000
0.000 6.722 0.000
0.000 0.000 5.583
Ho Tc Ni
4 4 4
direct
0.233 0.233 0.000 Ho
0.267 0.733 0.250 Ho
0.733 0.267 0.750 Ho
0.767 0.767 0.500 Ho
0.068 0.068 0.500 Tc
0.432 0.568 0.750 Tc
0.568 0.432 0.250 Tc
0.932 0.932 0.000 Tc
0.188 0.812 0.750 Ni
0.312 0.312 0.500 Ni
0.688 0.688 0.000 Ni
0.812 0.188 0.250 Ni
```


SmTh2N4: calculated powder X-ray diffraction pattern (a wavelength of 1.5418 Å), based on a GGA-PBE-relaxed structure.
Lines closer than 0.1° are merged.

Most intense lines, 10° ≤ 2θ ≤ 90°, in order of rising 2θ:
2θ/deg  Rel. int.
28.76  100
29.57  62
37.04  25
37.26  29
38.96  18
44.34  20
45.82  17
54.04  17
55.96  15
57.62  22

Atomic structure:
```
SmTh2N4
1.0
-3.838 3.838 3.637
3.838 -3.838 3.637
3.838 3.838 -3.637
Sm Th N
2 4 8
direct
0.000 0.000 0.000 Sm
0.750 0.250 0.500 Sm
0.234 0.625 0.109 Th
0.375 0.484 0.609 Th
0.516 0.125 0.891 Th
0.875 0.766 0.391 Th
0.123 0.240 0.742 N
0.132 0.748 0.758 N
0.252 0.010 0.384 N
0.498 0.382 0.258 N
0.618 0.877 0.116 N
0.627 0.868 0.616 N
0.760 0.502 0.884 N
0.990 0.373 0.242 N
```


CrSN3: calculated powder X-ray diffraction pattern (a wavelength of 1.5418 Å), based on a GGA-PBE-relaxed structure.
Lines closer than 0.1° are merged.

Most intense lines, 10° ≤ 2θ ≤ 90°, in order of rising 2θ:
2θ/deg  Rel. int.
23.83  29
33.95  100
41.91  2
48.78  46
54.99  9
60.76  33
71.46  24
76.54  3
81.52  14

Atomic structure:
```
CrSN3
1.0
3.734 0.000 0.000
0.000 3.734 0.000
0.000 0.000 3.734
Cr S N
1 1 3
direct
0.000 0.000 0.000 Cr
0.500 0.500 0.500 S
0.000 0.000 0.500 N
0.000 0.500 0.000 N
0.500 0.000 0.000 N
```


Cd7Hg3Pb2: calculated powder X-ray diffraction pattern (a wavelength of 1.5418 Å), based on a GGA-PBE-relaxed structure.
Lines closer than 0.1° are merged.

Most intense lines, 10° ≤ 2θ ≤ 90°, in order of rising 2θ:
2θ/deg  Rel. int.
25.84  18
28.85  17
29.69  21
32.32  24
33.41  26
33.78  100
35.21  26
35.51  44
37.85  31
64.64  17

Atomic structure:
```
Cd7Hg3Pb2
1.0
5.146 0.000 0.000
0.000 3.286 0.000
-0.033 0.000 18.567
Cd Hg Pb
7 3 2
direct
0.000 0.000 0.000 Cd
0.202 0.500 0.155 Cd
0.259 0.500 0.537 Cd
0.287 0.000 0.856 Cd
0.713 0.000 0.144 Cd
0.741 0.500 0.463 Cd
0.798 0.500 0.845 Cd
0.137 0.000 0.371 Hg
0.500 0.500 0.000 Hg
0.863 0.000 0.629 Hg
0.396 0.500 0.708 Pb
0.604 0.500 0.292 Pb
```


Mg6InAu: calculated powder X-ray diffraction pattern (a wavelength of 1.5418 Å), based on a GGA-PBE-relaxed structure.
Lines closer than 0.1° are merged.

Most intense lines, 10° ≤ 2θ ≤ 90°, in order of rising 2θ:
2θ/deg  Rel. int.
20.26  95
28.81  82
35.48  100
41.20  49
46.33  46
51.05  35
59.68  32
63.71  22
71.38  37
82.33  18

Atomic structure:
```
Mg6InAu
1.0
4.383 0.000 0.000
0.000 4.383 0.000
0.000 0.000 8.764
Mg In Au
6 1 1
direct
0.000 0.000 0.000 Mg
0.000 0.000 0.500 Mg
0.000 0.500 0.234 Mg
0.000 0.500 0.766 Mg
0.500 0.000 0.234 Mg
0.500 0.000 0.766 Mg
0.500 0.500 0.500 In
0.500 0.500 0.000 Au
```


Ta8Pt: calculated powder X-ray diffraction pattern (a wavelength of 1.5418 Å), based on a GGA-PBE-relaxed structure.
Lines closer than 0.1° are merged.

Most intense lines, 10° ≤ 2θ ≤ 90°, in order of rising 2θ:
2θ/deg  Rel. int.
38.46  25
38.61  100
39.24  24
55.39  9
56.11  17
69.45  9
69.66  18
69.97  9
70.70  17
82.78  11

Atomic structure:
```
Ta8Pt
1.0
0.000 4.976 6.888
2.341 0.000 6.888
2.341 4.976 0.000
Ta Pt
8 1
direct
0.166 0.166 0.834 Ta
0.166 0.834 0.166 Ta
0.167 0.500 0.500 Ta
0.500 0.167 0.833 Ta
0.500 0.833 0.167 Ta
0.833 0.500 0.500 Ta
0.834 0.166 0.834 Ta
0.834 0.834 0.166 Ta
0.500 0.500 0.500 Pt
```


Li2MnAu: calculated powder X-ray diffraction pattern (a wavelength of 1.5418 Å), based on a GGA-PBE-relaxed structure.
Lines closer than 0.1° are merged.

Most intense lines, 10° ≤ 2θ ≤ 90°, in order of rising 2θ:
2θ/deg  Rel. int.
23.93  14
24.98  100
31.14  14
39.65  53
42.73  25
44.62  19
51.81  28
63.49  15
68.41  11
78.85  14

Atomic structure:
```
Li2MnAu
1.0
-2.031 2.031 3.719
2.031 -2.031 3.719
2.031 2.031 -3.719
Li Mn Au
2 1 1
direct
0.000 0.000 0.000 Li
0.750 0.250 0.500 Li
0.500 0.500 0.000 Mn
0.250 0.750 0.500 Au
```


Ce2Co3Ni4: calculated powder X-ray diffraction pattern (a wavelength of 1.5418 Å), based on a GGA-PBE-relaxed structure.
Lines closer than 0.1° are merged.

Most intense lines, 10° ≤ 2θ ≤ 90°, in order of rising 2θ:
2θ/deg  Rel. int.
30.24  26
35.43  19
37.34  30
37.66  27
41.98  22
42.71  100
43.22  24
43.36  16
47.85  24
71.46  20

Atomic structure:
```
Ce2Co3Ni4
1.0
0.000 4.290 6.280
2.388 0.000 6.280
2.388 4.290 0.000
Ce Co Ni
2 3 4
direct
0.135 0.135 0.865 Ce
0.865 0.865 0.135 Ce
0.000 0.000 0.500 Co
0.500 0.500 0.000 Co
0.500 0.500 0.500 Co
0.158 0.506 0.494 Ni
0.494 0.842 0.158 Ni
0.506 0.158 0.842 Ni
0.842 0.494 0.506 Ni
```


Dy2NpZn2Rh5: calculated powder X-ray diffraction pattern (a wavelength of 1.5418 Å), based on a GGA-PBE-relaxed structure.
Lines closer than 0.1° are merged.

Most intense lines, 10° ≤ 2θ ≤ 90°, in order of rising 2θ:
2θ/deg  Rel. int.
28.86  8
31.76  15
35.61  18
37.97  100
41.30  28
49.51  14
62.27  6
64.01  10
66.36  7
85.01  8

Atomic structure:
```
Dy2NpZn2Rh5
1.0
9.784 0.000 0.000
0.000 9.784 0.000
0.000 0.000 3.682
Dy Np Zn Rh
4 2 4 10
direct
0.169 0.331 0.000 Dy
0.331 0.831 0.000 Dy
0.669 0.169 0.000 Dy
0.831 0.669 0.000 Dy
0.000 0.000 0.000 Np
0.500 0.500 0.000 Np
0.126 0.626 0.000 Zn
0.374 0.126 0.000 Zn
0.626 0.874 0.000 Zn
0.874 0.374 0.000 Zn
0.000 0.500 0.500 Rh
0.069 0.798 0.500 Rh
0.202 0.069 0.500 Rh
0.298 0.569 0.500 Rh
0.431 0.298 0.500 Rh
0.500 0.000 0.500 Rh
0.569 0.702 0.500 Rh
0.702 0.431 0.500 Rh
0.798 0.931 0.500 Rh
0.931 0.202 0.500 Rh
```


Hg3S2I2: calculated powder X-ray diffraction pattern (a wavelength of 1.5418 Å), based on a GGA-PBE-relaxed structure.
Lines closer than 0.1° are merged.

Most intense lines, 10° ≤ 2θ ≤ 90°, in order of rising 2θ:
2θ/deg  Rel. int.
16.40  100
23.41  46
23.53  52
25.57  63
28.72  38
29.16  99
33.00  76
39.79  42
41.21  33
45.63  29

Atomic structure:
```
Hg3S2I2
1.0
7.127 0.000 0.000
0.000 7.601 0.000
-6.760 0.000 8.717
Hg S I
6 4 4
direct
0.000 0.000 0.000 Hg
0.000 0.500 0.500 Hg
0.360 0.080 0.677 Hg
0.360 0.420 0.177 Hg
0.640 0.580 0.823 Hg
0.640 0.920 0.323 Hg
0.381 0.114 0.094 S
0.381 0.386 0.594 S
0.619 0.614 0.406 S
0.619 0.886 0.906 S
0.121 0.610 0.881 I
0.121 0.890 0.381 I
0.879 0.110 0.619 I
0.879 0.390 0.119 I
```


Pr2HoNi9: calculated powder X-ray diffraction pattern (a wavelength of 1.5418 Å), based on a GGA-PBE-relaxed structure.
Lines closer than 0.1° are merged.

Most intense lines, 10° ≤ 2θ ≤ 90°, in order of rising 2θ:
2θ/deg  Rel. int.
32.54  51
35.48  48
35.91  54
41.87  43
42.17  100
62.42  16
64.26  17
68.16  15
68.83  22
76.12  23

Atomic structure:
```
Pr2HoNi9
1.0
2.501 1.444 8.313
-2.501 1.444 8.313
0.000 -2.888 8.313
Pr Ho Ni
2 1 9
direct
0.138 0.138 0.138 Pr
0.862 0.862 0.862 Pr
0.000 0.000 0.000 Ho
0.080 0.579 0.579 Ni
0.333 0.333 0.333 Ni
0.421 0.421 0.920 Ni
0.421 0.920 0.421 Ni
0.500 0.500 0.500 Ni
0.579 0.080 0.579 Ni
0.579 0.579 0.080 Ni
0.667 0.667 0.667 Ni
0.920 0.421 0.421 Ni
```


Ac12LaPb6: calculated powder X-ray diffraction pattern (a wavelength of 1.5418 Å), based on a GGA-PBE-relaxed structure.
Lines closer than 0.1° are merged.

Most intense lines, 10° ≤ 2θ ≤ 90°, in order of rising 2θ:
2θ/deg  Rel. int.
19.54  60
22.72  32
27.64  51
28.51  100
32.08  83
32.62  74
33.37  39
41.60  25
47.75  27
61.57  22

Atomic structure:
```
Ac12LaPb6
1.0
7.381 4.261 4.448
-7.381 4.261 4.448
0.000 -8.523 4.448
Ac La Pb
12 1 6
direct
0.022 0.672 0.934 Ac
0.066 0.978 0.328 Ac
0.188 0.418 0.552 Ac
0.328 0.066 0.978 Ac
0.418 0.552 0.188 Ac
0.448 0.812 0.582 Ac
0.552 0.188 0.418 Ac
0.582 0.448 0.812 Ac
0.672 0.934 0.022 Ac
0.812 0.582 0.448 Ac
0.934 0.022 0.672 Ac
0.978 0.328 0.066 Ac
0.000 0.000 0.000 La
0.126 0.642 0.311 Pb
0.311 0.126 0.642 Pb
0.358 0.689 0.874 Pb
0.642 0.311 0.126 Pb
0.689 0.874 0.358 Pb
0.874 0.358 0.689 Pb
```


Y2MgSi2: calculated powder X-ray diffraction pattern (a wavelength of 1.5418 Å), based on a GGA-PBE-relaxed structure.
Lines closer than 0.1° are merged.

Most intense lines, 10° ≤ 2θ ≤ 90°, in order of rising 2θ:
2θ/deg  Rel. int.
21.08  16
24.78  15
27.76  27
32.75  46
35.12  100
39.66  21
42.92  18
52.50  15
57.20  20
70.06  13

Atomic structure:
```
Y2MgSi2
1.0
7.186 0.000 0.000
0.000 7.186 0.000
0.000 0.000 4.214
Y Mg Si
4 2 4
direct
0.179 0.321 0.000 Y
0.321 0.821 0.000 Y
0.679 0.179 0.000 Y
0.821 0.679 0.000 Y
0.000 0.000 0.500 Mg
0.500 0.500 0.500 Mg
0.118 0.618 0.500 Si
0.382 0.118 0.500 Si
0.618 0.882 0.500 Si
0.882 0.382 0.500 Si
```